(1)
Diffraction record for TmMg2Ag2. The powder X-ray diffraction pattern is calculated, not measured: it uses a DFT-relaxed cell (PBE, Alexandria) and CuKα.
Peak positions follow from Bragg's law for the DFT cell and can differ from measured ones.

Top 10 peaks for 10 to 90 degrees two-theta, by angle:
2.989 Å, 2θ = 29.89°, I = 64, hkl 3 1 0
2.980 Å, 2θ = 29.99°, I = 21, hkl 4 0 -1
2.485 Å, 2θ = 36.14°, I = 50, hkl 4 0 1
2.478 Å, 2θ = 36.25°, I = 100, hkl 5 1 0
2.471 Å, 2θ = 36.35°, I = 50, hkl 6 0 -1
2.446 Å, 2θ = 36.74°, I = 100, hkl 1 1 -1
2.358 Å, 2θ = 38.16°, I = 29, hkl 1 1 1
1.730 Å, 2θ = 52.93°, I = 34, hkl 0 2 0
1.420 Å, 2θ = 65.74°, I = 34, hkl 4 2 1
1.416 Å, 2θ = 65.95°, I = 33, hkl 7 1 -2

Structure:
a b c (Å): 18.075 3.460 3.459
angles (deg): 90.00 100.72 90.00
Space group C2/m (No. 12)
One atom of each set of equivalent atoms:
Tm1 0.000 0.000 0.000 x2
Mg1 0.192 0.000 0.193 x4
Ag1 0.107 0.500 0.606 x4



(2)
Diffraction record for TmHg5Pb2. The powder X-ray diffraction pattern is calculated, not measured: it uses a DFT-relaxed cell (PBE, Alexandria) and CuKα.
Peak positions follow from Bragg's law for the DFT cell and can differ from measured ones.

Top 10 peaks for 10 to 90 degrees two-theta, by angle:
2.721 Å, 2θ = 32.92°, I = 100, hkl 1 1 4
2.391 Å, 2θ = 37.63°, I = 14, hkl 0 0 8
2.340 Å, 2θ = 38.48°, I = 35, hkl 2 0 0
1.672 Å, 2θ = 54.91°, I = 19, hkl 2 0 8
1.655 Å, 2θ = 55.54°, I = 13, hkl 2 2 0
1.436 Å, 2θ = 64.95°, I = 8, hkl 1 1 12
1.414 Å, 2θ = 66.10°, I = 28, hkl 3 1 4
1.360 Å, 2θ = 69.04°, I = 10, hkl 2 2 8
1.263 Å, 2θ = 75.26°, I = 3, hkl 1 1 14
1.170 Å, 2θ = 82.44°, I = 5, hkl 4 0 0

Structure:
a b c (Å): 4.680 4.680 19.125
angles (deg): 90.00 90.00 90.00
Space group I4/mmm (No. 139)
One atom of each set of equivalent atoms:
Tm1 0.000 0.000 0.000 x2
Hg1 0.000 0.000 0.500 x2
Hg2 0.000 0.500 0.115 x8
Pb1 0.000 0.000 0.235 x4



(3)
Diffraction record for Rb4NaTh3Te8. The powder X-ray diffraction pattern is calculated, not measured: it uses a DFT-relaxed cell (PBE, Alexandria) and CuKα.
Peak positions follow from Bragg's law for the DFT cell and can differ from measured ones.

Top 10 peaks for 10 to 90 degrees two-theta, by angle:
8.546 Å, 2θ = 10.35°, I = 27, hkl 0 0 3
3.410 Å, 2θ = 26.14°, I = 100, hkl 0 2 4
2.709 Å, 2θ = 33.06°, I = 13, hkl 0 2 7
2.508 Å, 2θ = 35.81°, I = 35, hkl 2 0 8
2.325 Å, 2θ = 38.73°, I = 38, hkl 2 2 0
1.921 Å, 2θ = 47.33°, I = 20, hkl 4 0 4
1.705 Å, 2θ = 53.77°, I = 11, hkl 0 4 8
1.573 Å, 2θ = 58.69°, I = 11, hkl 2 2 12
1.481 Å, 2θ = 62.75°, I = 17, hkl 2 4 4
1.375 Å, 2θ = 68.22°, I = 10, hkl 4 2 8

Structure:
a b c (Å): 9.2992 9.2992 25.6377
angles (deg): 90.00 90.00 120.00
Space group R-3m (No. 166, hexagonal axes)
One atom of each set of equivalent atoms:
Rb1 0.0000 0.0000 0.0000 x3
Rb2 0.0000 0.5000 0.0000 x9
Na1 0.0000 0.0000 0.5000 x3
Th1 0.0000 0.5000 0.5000 x9
Te1 0.0000 0.0000 0.2354 x6
Te2 0.0120 0.5060 0.7657 x18



(4)
Diffraction record for TlGaPdPtSe. The powder X-ray diffraction pattern is calculated, not measured: it uses a DFT-relaxed cell (PBE, Alexandria) and CuKα.
Peak positions follow from Bragg's law for the DFT cell and can differ from measured ones.

Top 10 peaks for 10 to 90 degrees two-theta, by angle:
6.015 Å, 2θ = 14.73°, I = 65, hkl 2 0 0
3.604 Å, 2θ = 24.70°, I = 24, hkl 1 1 0
3.007 Å, 2θ = 29.71°, I = 45, hkl 4 0 0
2.921 Å, 2θ = 30.61°, I = 100, hkl 1 1 -1
2.667 Å, 2θ = 33.60°, I = 52, hkl 1 1 1
2.589 Å, 2θ = 34.64°, I = 42, hkl 3 1 -1
2.303 Å, 2θ = 39.11°, I = 50, hkl 2 0 -2
2.136 Å, 2θ = 42.31°, I = 56, hkl 3 1 1
2.057 Å, 2θ = 44.03°, I = 58, hkl 5 1 -1
1.889 Å, 2θ = 48.18°, I = 33, hkl 0 2 0

Structure:
a b c (Å): 12.645 3.777 4.614
angles (deg): 90.00 107.95 90.00
Space group Cm (No. 8)
One atom of each set of equivalent atoms:
Tl1 0.000 0.000 0.000 x2
Ga1 0.324 0.000 0.389 x2
Pd1 0.177 0.500 0.126 x2
Pt1 0.025 0.500 0.506 x2
Se1 0.247 0.500 0.689 x2



(5)
Diffraction record for NiTe2P2. The powder X-ray diffraction pattern is calculated, not measured: it uses a DFT-relaxed cell (PBE, Alexandria) and CuKα.
Peak positions follow from Bragg's law for the DFT cell and can differ from measured ones.

Top 10 peaks for 10 to 90 degrees two-theta, by angle:
5.896 Å, 2θ = 15.03°, I = 22, hkl 0 2 0
5.178 Å, 2θ = 17.12°, I = 24, hkl 1 1 0
3.538 Å, 2θ = 25.17°, I = 100, hkl 1 2 1
3.450 Å, 2θ = 25.83°, I = 40, hkl 0 0 2
2.948 Å, 2θ = 30.32°, I = 24, hkl 0 4 0
2.882 Å, 2θ = 31.03°, I = 23, hkl 2 0 0
2.241 Å, 2θ = 40.24°, I = 54, hkl 0 4 2
2.212 Å, 2θ = 40.80°, I = 52, hkl 2 0 2
2.061 Å, 2θ = 43.94°, I = 40, hkl 2 4 0
2.008 Å, 2θ = 45.15°, I = 22, hkl 1 2 3

Structure:
a b c (Å): 5.764 11.791 6.899
angles (deg): 90.00 90.00 90.00
Space group Ibam (No. 72)
One atom of each set of equivalent atoms:
Ni1 0.000 0.000 0.250 x4
Te1 0.248 0.121 0.000 x8
P1 0.212 0.103 0.500 x8



(6)
Diffraction record for PmMg6Sn4. The powder X-ray diffraction pattern is calculated, not measured: it uses a DFT-relaxed cell (PBE, Alexandria) and CuKα.
Peak positions follow from Bragg's law for the DFT cell and can differ from measured ones.

Top 10 peaks for 10 to 90 degrees two-theta, by angle:
3.749 Å, 2θ = 23.73°, I = 29, hkl 1 0 1
3.733 Å, 2θ = 23.84°, I = 62, hkl 2 0 0
3.057 Å, 2θ = 29.22°, I = 87, hkl 1 1 1
2.827 Å, 2θ = 31.65°, I = 100, hkl 2 0 1
2.365 Å, 2θ = 38.05°, I = 31, hkl 2 1 1
2.168 Å, 2θ = 41.67°, I = 23, hkl 0 0 2
2.156 Å, 2θ = 41.89°, I = 89, hkl 2 2 0
1.868 Å, 2θ = 48.76°, I = 25, hkl 4 0 0
1.528 Å, 2θ = 60.59°, I = 35, hkl 2 2 2
1.525 Å, 2θ = 60.73°, I = 23, hkl 4 1 1

Structure:
a b c (Å): 8.6205 8.6205 4.3351
angles (deg): 90.00 90.00 120.00
Space group P-6m2 (No. 187)
One atom of each set of equivalent atoms:
Pm1 0.0000 0.0000 0.0000 x1
Mg1 0.2011 0.4021 0.5000 x3
Mg2 0.5375 0.0751 0.0000 x3
Sn1 0.3333 0.6667 0.0000 x1
Sn2 0.3572 0.1786 0.5000 x3



(7)
Diffraction record for Tb5Er12Tm2. The powder X-ray diffraction pattern is calculated, not measured: it uses a DFT-relaxed cell (PBE, Alexandria) and CuKα.
Peak positions follow from Bragg's law for the DFT cell and can differ from measured ones.

Top 10 peaks for 10 to 90 degrees two-theta, by angle:
2.940 Å, 2θ = 30.40°, I = 37, hkl 4 2 0
2.911 Å, 2θ = 30.71°, I = 66, hkl 2 2 -2
2.830 Å, 2θ = 31.61°, I = 41, hkl 1 3 -1
2.818 Å, 2θ = 31.75°, I = 53, hkl 1 3 1
2.795 Å, 2θ = 32.02°, I = 85, hkl 4 0 2
2.781 Å, 2θ = 32.19°, I = 100, hkl 5 1 -1
2.678 Å, 2θ = 33.47°, I = 75, hkl 1 1 -3
2.492 Å, 2θ = 36.04°, I = 54, hkl 3 3 1
1.634 Å, 2θ = 56.31°, I = 37, hkl 3 3 4
1.552 Å, 2θ = 59.57°, I = 31, hkl 5 5 -1

Structure:
a b c (Å): 15.346 9.163 8.491
angles (deg): 90.00 92.07 90.00
Space group C2/m (No. 12)
One atom of each set of equivalent atoms:
Tb1 0.000 0.000 0.000 x2
Tb2 0.206 0.500 0.520 x4
Tb3 0.231 0.000 0.071 x4
Er1 0.057 0.500 0.836 x4
Er2 0.074 0.000 0.374 x4
Er3 0.130 0.309 0.170 x8
Er4 0.149 0.180 0.740 x8
Tm1 0.000 0.327 0.500 x4



(8)
Diffraction record for Sr4Li. The powder X-ray diffraction pattern is calculated, not measured: it uses a DFT-relaxed cell (PBE, Alexandria) and CuKα.
Peak positions follow from Bragg's law for the DFT cell and can differ from measured ones.

Top 10 peaks for 10 to 90 degrees two-theta, by angle:
4.233 Å, 2θ = 20.99°, I = 14, hkl 1 1 1
3.847 Å, 2θ = 23.12°, I = 40, hkl 1 1 3
3.313 Å, 2θ = 26.91°, I = 100, hkl 1 1 5
3.259 Å, 2θ = 27.37°, I = 20, hkl 0 0 8
3.041 Å, 2θ = 29.37°, I = 26, hkl 0 2 0
3.026 Å, 2θ = 29.52°, I = 25, hkl 2 0 0
2.145 Å, 2θ = 42.13°, I = 19, hkl 2 2 0
1.817 Å, 2θ = 50.22°, I = 21, hkl 1 1 13
1.804 Å, 2θ = 50.61°, I = 17, hkl 1 3 5
1.797 Å, 2θ = 50.79°, I = 17, hkl 3 1 5

Structure:
a b c (Å): 6.052 6.082 26.070
angles (deg): 90.00 90.00 90.00
Space group Fmmm (No. 69)
One atom of each set of equivalent atoms:
Sr1 0.000 0.000 0.079 x8
Sr2 0.000 0.000 0.307 x8
Li1 0.000 0.000 0.500 x4



(9)
Diffraction record for Ce5Sm2O13. The powder X-ray diffraction pattern is calculated, not measured: it uses a DFT-relaxed cell (PBE, Alexandria) and CuKα.
Peak positions follow from Bragg's law for the DFT cell and can differ from measured ones.

Top 10 peaks for 10 to 90 degrees two-theta, by angle:
3.205 Å, 2θ = 27.84°, I = 34, hkl 0 0 21
3.154 Å, 2θ = 28.29°, I = 100, hkl 1 0 7
2.742 Å, 2θ = 32.65°, I = 41, hkl 0 1 14
1.951 Å, 2θ = 46.56°, I = 34, hkl 1 0 28
1.928 Å, 2θ = 47.14°, I = 35, hkl 1 1 0
1.666 Å, 2θ = 55.12°, I = 14, hkl 0 1 35
1.652 Å, 2θ = 55.64°, I = 29, hkl 1 1 21
1.645 Å, 2θ = 55.90°, I = 15, hkl 0 2 7
1.251 Å, 2θ = 76.06°, I = 12, hkl 2 1 7
1.117 Å, 2θ = 87.25°, I = 10, hkl 2 1 28

Structure:
a b c (Å): 3.8556 3.8556 67.2975
angles (deg): 90.00 90.00 120.00
Space group R3m (No. 160, hexagonal axes)
One atom of each set of equivalent atoms:
Ce1 0.0000 0.0000 0.0000 x3
Ce2 0.0000 0.0000 0.1408 x3
Ce3 0.0000 0.0000 0.2863 x3
Ce4 0.0000 0.0000 0.4273 x3
Ce5 0.0000 0.0000 0.7137 x3
Sm1 0.0000 0.0000 0.5742 x3
Sm2 0.0000 0.0000 0.8558 x3
O1 0.0000 0.0000 0.0361 x3
O2 0.0000 0.0000 0.1067 x3
O3 0.0000 0.0000 0.1825 x3
O4 0.0000 0.0000 0.2517 x3
O5 0.0000 0.0000 0.3224 x3
O6 0.0000 0.0000 0.3930 x3
O7 0.0000 0.0000 0.4632 x3
O8 0.0000 0.0000 0.6090 x3
O9 0.0000 0.0000 0.6793 x3
O10 0.0000 0.0000 0.7498 x3
O11 0.0000 0.0000 0.8197 x3
O12 0.0000 0.0000 0.8884 x3
O13 0.0000 0.0000 0.9656 x3



(10)
Diffraction record for PmNiAgSn. The powder X-ray diffraction pattern is calculated, not measured: it uses a DFT-relaxed cell (PBE, Alexandria) and CuKα.
Peak positions follow from Bragg's law for the DFT cell and can differ from measured ones.

Top 10 peaks for 10 to 90 degrees two-theta, by angle:
3.967 Å, 2θ = 22.41°, I = 4, hkl 1 1 1
3.435 Å, 2θ = 25.94°, I = 5, hkl 2 0 0
2.429 Å, 2θ = 37.01°, I = 100, hkl 2 2 0
2.072 Å, 2θ = 43.70°, I = 2, hkl 3 1 1
1.983 Å, 2θ = 45.75°, I = 2, hkl 2 2 2
1.718 Å, 2θ = 53.34°, I = 17, hkl 4 0 0
1.536 Å, 2θ = 60.24°, I = 2, hkl 4 2 0
1.402 Å, 2θ = 66.69°, I = 35, hkl 4 2 2
1.215 Å, 2θ = 78.80°, I = 11, hkl 4 4 0
1.145 Å, 2θ = 84.64°, I = 1, hkl 6 0 0

Structure:
a b c (Å): 6.870 6.870 6.870
angles (deg): 90.00 90.00 90.00
Space group F-43m (No. 216)
One atom of each set of equivalent atoms:
Pm1 0.000 0.000 0.000 x4
Ni1 0.250 0.250 0.750 x4
Ag1 0.250 0.250 0.250 x4
Sn1 0.000 0.000 0.500 x4



(11)
Diffraction record for K3Rb4Pd. The powder X-ray diffraction pattern is calculated, not measured: it uses a DFT-relaxed cell (PBE, Alexandria) and CuKα.
Peak positions follow from Bragg's law for the DFT cell and can differ from measured ones.

Top 10 peaks for 10 to 90 degrees two-theta, by angle:
7.343 Å, 2θ = 12.05°, I = 92, hkl 1 1 0
6.995 Å, 2θ = 12.65°, I = 48, hkl 0 2 0
4.136 Å, 2θ = 21.48°, I = 62, hkl 0 3 1
3.886 Å, 2θ = 22.88°, I = 100, hkl 2 0 1
3.456 Å, 2θ = 25.78°, I = 69, hkl 1 2 2
3.397 Å, 2θ = 26.23°, I = 68, hkl 2 2 1
3.048 Å, 2θ = 29.30°, I = 54, hkl 1 4 1
2.586 Å, 2θ = 34.70°, I = 89, hkl 2 3 2
2.156 Å, 2θ = 41.89°, I = 50, hkl 4 0 0
1.999 Å, 2θ = 45.36°, I = 41, hkl 2 6 1

Structure:
a b c (Å): 8.627 13.991 8.956
angles (deg): 90.00 90.00 90.00
Space group Pmmn (No. 59, origin choice 2)
One atom of each set of equivalent atoms:
K1 0.250 0.019 0.184 x4
K2 0.250 0.750 0.494 x2
Rb1 0.012 0.750 0.943 x4
Rb2 0.250 0.091 0.625 x4
Pd1 0.250 0.250 0.327 x2



(12)
Diffraction record for Li2PuUF8. The powder X-ray diffraction pattern is calculated, not measured: it uses a DFT-relaxed cell (PBE, Alexandria) and CuKα.
Peak positions follow from Bragg's law for the DFT cell and can differ from measured ones.

Top 10 peaks for 10 to 90 degrees two-theta, by angle:
4.869 Å, 2θ = 18.22°, I = 100, hkl 1 0 1
3.169 Å, 2θ = 28.16°, I = 77, hkl 1 1 2
3.114 Å, 2θ = 28.66°, I = 26, hkl 1 0 3
2.690 Å, 2θ = 33.31°, I = 15, hkl 2 0 0
2.354 Å, 2θ = 38.23°, I = 36, hkl 2 1 1
2.108 Å, 2θ = 42.89°, I = 15, hkl 1 0 5
2.036 Å, 2θ = 44.51°, I = 26, hkl 1 2 3
1.961 Å, 2θ = 46.30°, I = 25, hkl 2 0 4
1.707 Å, 2θ = 53.70°, I = 14, hkl 1 1 6
1.631 Å, 2θ = 56.43°, I = 25, hkl 1 3 2

Structure:
a b c (Å): 5.379 5.379 11.459
angles (deg): 90.00 90.00 90.00
Space group I-4 (No. 82)
One atom of each set of equivalent atoms:
Li1 0.000 0.000 0.000 x2
Li2 0.000 0.500 0.250 x2
Pu1 0.000 0.500 0.750 x2
U1 0.000 0.000 0.500 x2
F1 0.156 0.772 0.334 x8
F2 0.166 0.272 0.922 x8



(13)
Diffraction record for Ac6Au3N2. The powder X-ray diffraction pattern is calculated, not measured: it uses a DFT-relaxed cell (PBE, Alexandria) and CuKα.
Peak positions follow from Bragg's law for the DFT cell and can differ from measured ones.

Top 10 peaks for 10 to 90 degrees two-theta, by angle:
3.506 Å, 2θ = 25.41°, I = 49, hkl 1 1 2
3.158 Å, 2θ = 28.25°, I = 32, hkl 0 0 8
2.956 Å, 2θ = 30.23°, I = 27, hkl 1 0 7
2.757 Å, 2θ = 32.48°, I = 100, hkl 1 1 6
2.580 Å, 2θ = 34.77°, I = 66, hkl 2 0 0
1.944 Å, 2θ = 46.73°, I = 17, hkl 2 1 7
1.824 Å, 2θ = 50.00°, I = 30, hkl 2 2 0
1.805 Å, 2θ = 50.58°, I = 14, hkl 2 0 10
1.522 Å, 2θ = 60.88°, I = 34, hkl 3 1 6
1.290 Å, 2θ = 73.40°, I = 12, hkl 4 0 0

Structure:
a b c (Å): 5.161 5.161 25.248
angles (deg): 90.00 90.00 90.00
Space group I4/mmm (No. 139)
One atom of each set of equivalent atoms:
Ac1 0.000 0.000 0.203 x4
Ac2 0.000 0.500 0.085 x8
Au1 0.000 0.000 0.330 x4
Au2 0.000 0.000 0.500 x2
N1 0.000 0.000 0.107 x4